1.
The following is a computed X-ray diffraction stick pattern of KPb2C2O6F. It was derived from the GGA-PBE geometry in Alexandria, using Cu Kα (weighted mean of Kα1 and Kα2).

Structural model:
Cell: 5.3660 5.3660 14.3764 Å, 90.00 90.00 120.00°
Element x y z (fractional)
1 K 0.3333 0.6667 0.2500
2 K 0.6667 0.3333 0.7500
3 Pb 0.3333 0.6667 0.5852
4 Pb 0.3333 0.6667 0.9148
5 Pb 0.6667 0.3333 0.0852
6 Pb 0.6667 0.3333 0.4148
7 C 0.0000 0.0000 0.1061
8 C 0.0000 0.0000 0.3939
9 C 0.0000 0.0000 0.6061
10 C 0.0000 0.0000 0.8939
11 O 0.1400 0.2800 0.1058
12 O 0.1400 0.2800 0.3942
13 O 0.1400 0.8600 0.1058
14 O 0.1400 0.8600 0.3942
15 O 0.2800 0.1400 0.6058
16 O 0.2800 0.1400 0.8942
17 O 0.7200 0.8600 0.1058
18 O 0.7200 0.8600 0.3942
19 O 0.8600 0.1400 0.6058
20 O 0.8600 0.1400 0.8942
21 O 0.8600 0.7200 0.6058
22 O 0.8600 0.7200 0.8942
23 F 0.3333 0.6667 0.7500
24 F 0.6667 0.3333 0.2500

Most intense lines, 2θ = 10–80°, low angle first:
two_theta	d/Å	I_rel
12.31	7.188	20
19.10	4.647	25
20.08	4.422	35
26.72	3.336	100
33.40	2.683	49
37.54	2.396	17
39.28	2.294	13
43.27	2.091	43
51.11	1.787	30
55.74	1.649	25



2.
The following is a computed X-ray diffraction stick pattern of RbBiPd2. It was derived from the GGA-PBE geometry in Alexandria, using Cu Kα (weighted mean of Kα1 and Kα2).

Structural model:
Cell: 4.7816 7.5470 6.6991 Å, 90.00 90.00 90.00°
Element x y z (fractional)
1 Rb 0.2500 0.2500 0.1193
2 Rb 0.7500 0.7500 0.8807
3 Bi 0.2500 0.7500 0.3747
4 Bi 0.7500 0.2500 0.6253
5 Pd 0.2500 0.0623 0.5914
6 Pd 0.2500 0.4377 0.5914
7 Pd 0.7500 0.5623 0.4086
8 Pd 0.7500 0.9377 0.4086

Most intense lines, 2θ = 10–80°, low angle first:
two_theta	d/Å	I_rel
13.22	6.699	100
17.70	5.010	25
25.76	3.459	23
29.17	3.062	61
33.07	2.709	54
37.62	2.391	30
40.66	2.219	25
42.80	2.113	45
48.29	1.885	35
51.23	1.783	25



3.
The following is a computed X-ray diffraction stick pattern of Cs2LiErCl6. It was derived from the GGA-PBE geometry in Alexandria, using Cu Kα (weighted mean of Kα1 and Kα2).

Structural model:
Cell: 13.2044 13.2044 13.2044 Å, 33.14 33.14 33.14°
Element x y z (fractional)
1 Cs 0.1279 0.1279 0.1279
2 Cs 0.2898 0.2898 0.2898
3 Cs 0.7102 0.7102 0.7102
4 Cs 0.8721 0.8721 0.8721
5 Li 0.0000 0.0000 0.0000
6 Li 0.5000 0.5000 0.5000
7 Er 0.4126 0.4126 0.4126
8 Er 0.5874 0.5874 0.5874
9 Cl 0.1433 0.6135 0.6135
10 Cl 0.2071 0.2071 0.7079
11 Cl 0.2071 0.7079 0.2071
12 Cl 0.2921 0.7929 0.7929
13 Cl 0.3865 0.3865 0.8567
14 Cl 0.3865 0.8567 0.3865
15 Cl 0.6135 0.1433 0.6135
16 Cl 0.6135 0.6135 0.1433
17 Cl 0.7079 0.2071 0.2071
18 Cl 0.7929 0.2921 0.7929
19 Cl 0.7929 0.7929 0.2921
20 Cl 0.8567 0.3865 0.3865

Most intense lines, 2θ = 10–80°, low angle first:
two_theta	d/Å	I_rel
13.78	6.426	30
16.57	5.350	29
21.50	4.134	87
23.62	3.766	96
27.70	3.221	32
32.15	2.784	100
36.55	2.458	27
40.29	2.239	31
48.33	1.883	44
79.88	1.201	29



4.
The following is a computed X-ray diffraction stick pattern of Dy2Ga2Sn7. It was derived from the GGA-PBE geometry in Alexandria, using Cu Kα (weighted mean of Kα1 and Kα2).

Structural model:
Cell: 7.6638 7.6638 5.9157 Å, 112.06 112.06 78.11°
Element x y z (fractional)
1 Dy 0.1887 0.8113 0.0000
2 Dy 0.8113 0.1887 0.0000
3 Ga 0.2162 0.2162 0.3885
4 Ga 0.7838 0.7838 0.6115
5 Sn 0.0000 0.0000 0.5000
6 Sn 0.0796 0.5644 0.2892
7 Sn 0.4356 0.9204 0.7108
8 Sn 0.4864 0.4864 0.7420
9 Sn 0.5135 0.5135 0.2580
10 Sn 0.5644 0.0796 0.2892
11 Sn 0.9204 0.4356 0.7108

Most intense lines, 2θ = 10–80°, low angle first:
two_theta	d/Å	I_rel
25.19	3.535	62
29.63	3.015	41
30.04	2.975	34
32.94	2.719	47
35.09	2.557	79
35.44	2.533	100
35.60	2.522	91
37.24	2.414	53
38.12	2.361	31
40.86	2.209	34